1.
Structure and simulated powder X-ray diffraction pattern of Ba2GaSn3Pt2 (DFT lattice parameters and positions (PBE); Cu Kα (λ = 1.5418 Å)).
Kinematic intensities with the Lorentz-polarization factor, no thermal factor.

Largest 8 diffraction maxima, low angle first, 2θ = 10–90°:
2θ 13.93, d = 6.357 Å, I = 72, hkl 2 0 0
2θ 30.37, d = 2.944 Å, I = 33, hkl 4 0 -1
2θ 30.50, d = 2.931 Å, I = 46, hkl 4 0 1
2θ 31.43, d = 2.847 Å, I = 100, hkl 3 1 -1
2θ 31.60, d = 2.831 Å, I = 83, hkl 1 1 2
2θ 40.71, d = 2.216 Å, I = 49, hkl 0 2 0
2θ 41.29, d = 2.186 Å, I = 58, hkl 1 1 -3
2θ 51.67, d = 1.769 Å, I = 36, hkl 4 2 1

Structure:
Unit cell a=12.7136 b=4.4329 c=7.6916 alpha=90.00 beta=90.34 gamma=90.00
Space group Cm (No. 8)
Inequivalent atoms, fractional coordinates:
1 Ba 0.0000 0.0000 0.0000 x2
2 Ba 0.1116 0.0000 0.5131 x2
3 Ga 0.3815 0.0000 0.7098 x2
4 Sn 0.2198 0.5000 0.8159 x2
5 Sn 0.2251 0.5000 0.2153 x2
6 Sn 0.3998 0.0000 0.3234 x2
7 Pt 0.2794 0.0000 0.0117 x2
8 Pt 0.3450 0.5000 0.5251 x2


2.
Structure and simulated powder X-ray diffraction pattern of Dy2Y2CBr3F2 (DFT lattice parameters and positions (PBE); Cu Kα (λ = 1.5418 Å)).
Kinematic intensities with the Lorentz-polarization factor, no thermal factor.

Largest 8 diffraction maxima, low angle first, 2θ = 10–90°:
2θ 10.69, d = 8.278 Å, I = 98, hkl 2 0 0
2θ 11.35, d = 7.793 Å, I = 72, hkl 0 0 1
2θ 32.45, d = 2.759 Å, I = 51, hkl 6 0 0
2θ 33.33, d = 2.688 Å, I = 100, hkl 1 1 -2
2θ 36.43, d = 2.466 Å, I = 22, hkl 5 1 0
2θ 45.50, d = 1.993 Å, I = 32, hkl 5 1 2
2θ 48.86, d = 1.864 Å, I = 26, hkl 7 1 -2
2θ 49.30, d = 1.848 Å, I = 20, hkl 0 2 0

Structure:
Unit cell a=16.7156 b=3.6967 c=7.8689 alpha=90.00 beta=97.94 gamma=90.00
Space group C2/m (No. 12)
Inequivalent atoms, fractional coordinates:
1 Dy 0.0006 0.0000 0.2948 x4
2 Y 0.1425 0.5000 0.5678 x4
3 C 0.0000 0.5000 0.5000 x2
4 Br 0.0000 0.5000 0.0000 x2
5 Br 0.1773 0.0000 0.3008 x4
6 F 0.1412 0.0000 0.7482 x4


3.
Structure and simulated powder X-ray diffraction pattern of Gd3GePt4 (DFT lattice parameters and positions (PBE); Cu Kα (λ = 1.5418 Å)).
Kinematic intensities with the Lorentz-polarization factor, no thermal factor.

Largest 8 diffraction maxima, low angle first, 2θ = 10–90°:
2θ 32.99, d = 2.715 Å, I = 100, hkl 0 1 2
2θ 33.78, d = 2.653 Å, I = 24, hkl 2 0 -1
2θ 34.29, d = 2.615 Å, I = 38, hkl 2 0 1
2θ 36.45, d = 2.465 Å, I = 70, hkl 1 1 -2
2θ 36.93, d = 2.434 Å, I = 49, hkl 1 1 2
2θ 40.06, d = 2.251 Å, I = 59, hkl 2 1 -1
2θ 40.50, d = 2.227 Å, I = 63, hkl 2 1 1
2θ 42.55, d = 2.125 Å, I = 58, hkl 0 2 0

Structure:
Unit cell a=5.6793 b=4.2495 c=7.0605 alpha=90.00 beta=91.19 gamma=90.00
Space group Pm (No. 6)
Inequivalent atoms, fractional coordinates:
1 Gd 0.0000 0.0000 0.0000 x1
2 Gd 0.2398 0.0000 0.5008 x1
3 Gd 0.5108 0.5000 0.1367 x1
4 Ge 0.7422 0.5000 0.6615 x1
5 Pt 0.0262 0.5000 0.2808 x1
6 Pt 0.1883 0.5000 0.7736 x1
7 Pt 0.5325 0.0000 0.8409 x1
8 Pt 0.7262 0.0000 0.4137 x1


4.
Structure and simulated powder X-ray diffraction pattern of Dy5P (DFT lattice parameters and positions (PBE); Cu Kα (λ = 1.5418 Å)).
Kinematic intensities with the Lorentz-polarization factor, no thermal factor.

Largest 8 diffraction maxima, low angle first, 2θ = 10–90°:
2θ 22.57, d = 3.940 Å, I = 56, hkl 1 1 2
2θ 28.55, d = 3.126 Å, I = 46, hkl 1 1 3
2θ 31.18, d = 2.869 Å, I = 57, hkl 0 0 4
2θ 32.59, d = 2.747 Å, I = 94, hkl 2 0 2
2θ 33.05, d = 2.710 Å, I = 41, hkl 2 2 0
2θ 33.99, d = 2.638 Å, I = 100, hkl 0 4 1
2θ 52.23, d = 1.751 Å, I = 48, hkl 0 4 5
2θ 68.28, d = 1.374 Å, I = 36, hkl 4 0 4

Structure:
Unit cell a=6.2592 b=10.8407 c=11.4756 alpha=90.00 beta=90.00 gamma=90.00
Space group Cmcm (No. 63)
Inequivalent atoms, fractional coordinates:
1 Dy 0.0000 0.1665 0.0206 x8
2 Dy 0.0000 0.3313 0.7500 x4
3 Dy 0.2472 0.0840 0.7500 x8
4 P 0.0000 0.1676 0.2500 x4


5.
Structure and simulated powder X-ray diffraction pattern of AlCuI2Cl2 (DFT lattice parameters and positions (PBE); Cu Kα (λ = 1.5418 Å)).
Kinematic intensities with the Lorentz-polarization factor, no thermal factor.

Largest 8 diffraction maxima, low angle first, 2θ = 10–90°:
2θ 17.02, d = 5.209 Å, I = 95, hkl 0 1 -1
2θ 17.21, d = 5.152 Å, I = 88, hkl 1 0 -1
2θ 25.84, d = 3.448 Å, I = 100, hkl 1 1 0
2θ 26.36, d = 3.381 Å, I = 92, hkl 1 -1 1
2θ 26.75, d = 3.332 Å, I = 93, hkl -1 1 1
2θ 27.69, d = 3.222 Å, I = 82, hkl 1 1 -2
2θ 29.20, d = 3.058 Å, I = 61, hkl 0 2 -1
2θ 33.46, d = 2.678 Å, I = 42, hkl 2 1 -1

Structure:
Unit cell a=6.1184 b=6.1311 c=6.5797 alpha=115.48 beta=114.36 gamma=90.64
Space group P1 (No. 1)
Inequivalent atoms, fractional coordinates:
1 Al 0.0000 0.0000 0.0000 x1
2 Cu 0.2395 0.7746 0.4991 x1
3 I 0.3584 0.3811 0.2510 x1
4 I 0.6307 0.1253 0.7418 x1
5 Cl 0.0981 0.6917 0.7543 x1
6 Cl 0.9198 0.9016 0.2467 x1


6.
Structure and simulated powder X-ray diffraction pattern of Tl3CuF6 (DFT lattice parameters and positions (PBE); Cu Kα (λ = 1.5418 Å)).
Kinematic intensities with the Lorentz-polarization factor, no thermal factor.

Largest 8 diffraction maxima, low angle first, 2θ = 10–90°:
2θ 18.03, d = 4.919 Å, I = 8, hkl 1 1 1
2θ 29.66, d = 3.012 Å, I = 100, hkl 2 2 0
2θ 42.44, d = 2.130 Å, I = 29, hkl 4 0 0
2θ 52.63, d = 1.739 Å, I = 42, hkl 4 2 2
2θ 61.57, d = 1.506 Å, I = 19, hkl 4 4 0
2θ 69.82, d = 1.347 Å, I = 19, hkl 6 2 0
2θ 77.64, d = 1.230 Å, I = 6, hkl 4 4 4
2θ 85.24, d = 1.139 Å, I = 22, hkl 6 4 2

Structure:
Unit cell a=8.5201 b=8.5201 c=8.5201 alpha=90.00 beta=90.00 gamma=90.00
Space group Fm-3m (No. 225)
Inequivalent atoms, fractional coordinates:
1 Tl 0.0000 0.0000 0.0000 x4
2 Tl 0.2500 0.2500 0.2500 x8
3 Cu 0.0000 0.0000 0.5000 x4
4 F 0.0000 0.0000 0.2642 x24


7.
Structure and simulated powder X-ray diffraction pattern of BaNa2Pt2 (DFT lattice parameters and positions (PBE); Cu Kα (λ = 1.5418 Å)).
Kinematic intensities with the Lorentz-polarization factor, no thermal factor.

Largest 8 diffraction maxima, low angle first, 2θ = 10–90°:
2θ 13.58, d = 6.519 Å, I = 52, hkl 0 0 2
2θ 21.20, d = 4.192 Å, I = 59, hkl 1 0 1
2θ 28.52, d = 3.130 Å, I = 100, hkl 1 1 0
2θ 28.79, d = 3.101 Å, I = 58, hkl 1 0 3
2θ 31.71, d = 2.822 Å, I = 63, hkl 1 1 2
2θ 40.14, d = 2.247 Å, I = 99, hkl 1 0 5
2θ 40.77, d = 2.213 Å, I = 57, hkl 2 0 0
2θ 58.54, d = 1.577 Å, I = 66, hkl 2 1 5

Structure:
Unit cell a=4.4268 b=4.4268 c=13.0374 alpha=90.00 beta=90.00 gamma=90.00
Space group I4/mmm (No. 139)
Inequivalent atoms, fractional coordinates:
1 Ba 0.0000 0.0000 0.0000 x2
2 Na 0.0000 0.5000 0.2500 x4
3 Pt 0.0000 0.0000 0.3996 x4


8.
Structure and simulated powder X-ray diffraction pattern of Hf2Be2Pd3 (DFT lattice parameters and positions (PBE); Cu Kα (λ = 1.5418 Å)).
Kinematic intensities with the Lorentz-polarization factor, no thermal factor.

Largest 8 diffraction maxima, low angle first, 2θ = 10–90°:
2θ 25.10, d = 3.548 Å, I = 94, hkl 0 1 2
2θ 25.97, d = 3.432 Å, I = 31, hkl 0 0 6
2θ 38.80, d = 2.321 Å, I = 18, hkl 1 0 7
2θ 41.38, d = 2.182 Å, I = 100, hkl 1 1 0
2θ 42.50, d = 2.127 Å, I = 82, hkl 0 1 8
2θ 49.51, d = 1.841 Å, I = 33, hkl 1 1 6
2θ 60.82, d = 1.523 Å, I = 28, hkl 2 0 8
2θ 76.24, d = 1.249 Å, I = 29, hkl 1 2 8

Structure:
Unit cell a=4.3636 b=4.3636 c=20.5895 alpha=90.00 beta=90.00 gamma=120.00
Space group R3m (No. 160, hexagonal axes)
Inequivalent atoms, fractional coordinates:
1 Hf 0.0000 0.0000 0.0000 x3
2 Hf 0.0000 0.0000 0.4826 x3
3 Be 0.0000 0.0000 0.2354 x3
4 Be 0.0000 0.0000 0.7395 x3
5 Pd 0.0000 0.0000 0.3577 x3
6 Pd 0.0000 0.0000 0.6131 x3
7 Pd 0.0000 0.0000 0.8659 x3